(1)
The following is a calculated powder X-ray diffraction pattern of MgV4Ag2O11. It was derived from DFT lattice parameters and positions (PBE+U), using Cu Kα, 1.54184 Å.

Peak list (8 most intense, 15° ≤ 2θ ≤ 90°, most intense first)
| 2theta | I/Imax | (hkl) |
| --- | --- | --- |
| 30.8 | 100 | 1 -1 1 |
| 29.8 | 98 | 0 2 2 |
| 31.8 | 82 | 1 2 0 |
| 33.8 | 80 | 0 0 3 |
| 49.6 | 74 | 2 1 1 |
| 29.5 | 69 | 1 -1 0 |
| 30.7 | 68 | 1 2 1 |
| 38.0 | 58 | 0 2 3 |

Structural model:
```
data_MgV4Ag2O11
_symmetry_space_group_name_H-M 'P 1'
_symmetry_Int_Tables_number 1
_cell_length_a 3.6816
_cell_length_b 7.7641
_cell_length_c 8.2682
_cell_angle_alpha 77.94
_cell_angle_beta 77.68
_cell_angle_gamma 78.50
loop_
_symmetry_equiv_pos_as_xyz
'x,y,z'
loop_
_atom_site_label
_atom_site_type_symbol
_atom_site_fract_x
_atom_site_fract_y
_atom_site_fract_z
_atom_site_occupancy
Mg1 Mg 0.0000 0.0000 0.0000 1
V1 V 0.0287 0.4539 0.4725 1
V2 V 0.3160 0.7425 0.6624 1
V3 V 0.5212 0.7469 0.2620 1
V4 V 0.8131 0.4768 0.9062 1
Ag1 Ag 0.5812 0.1257 0.6978 1
Ag2 Ag 0.7712 0.1038 0.3449 1
O1 O 0.0230 0.6873 0.2853 1
O2 O 0.1496 0.3035 0.3432 1
O3 O 0.1661 0.9187 0.7778 1
O4 O 0.3288 0.5170 0.8369 1
O5 O 0.3893 0.8866 0.4367 1
O6 O 0.4771 0.9423 0.0940 1
O7 O 0.4978 0.5293 0.4705 1
O8 O 0.6846 0.5957 0.0627 1
O9 O 0.8464 0.6649 0.6674 1
O10 O 0.8632 0.2594 0.0065 1
O11 O 0.9948 0.3142 0.6688 1
```

---

(2)
The following is a calculated powder X-ray diffraction pattern of CaLaMn2O6. It was derived from DFT lattice parameters and positions (PBE+U), using Cu Kα, 1.54184 Å.

Peak list (8 most intense, 15° ≤ 2θ ≤ 90°, most intense first)
| 2theta | I/Imax | (hkl) |
| --- | --- | --- |
| 32.7 | 100 | 1 2 2 |
| 46.6 | 35 | 2 4 0 |
| 32.5 | 24 | 0 4 0 |
| 32.4 | 22 | 2 0 0 |
| 58.0 | 22 | 3 2 2 |
| 21.4 | 21 | 1 1 1 |
| 58.2 | 19 | 1 6 2 |
| 68.6 | 17 | 2 4 4 |

Structural model:
```
data_CaLaMn2O6
_symmetry_space_group_name_H-M 'P n n m'
_symmetry_Int_Tables_number 58
_cell_length_a 5.5298
_cell_length_b 11.0037
_cell_length_c 7.6739
_cell_angle_alpha 90.00
_cell_angle_beta 90.00
_cell_angle_gamma 90.00
loop_
_symmetry_equiv_pos_as_xyz
'x,y,z'
'-x,-y,-z'
'-x,-y,z'
'x,y,-z'
'x+1/2,-y+1/2,-z+1/2'
'-x+1/2,y+1/2,z+1/2'
'-x+1/2,y+1/2,-z+1/2'
'x+1/2,-y+1/2,z+1/2'
loop_
_atom_site_label
_atom_site_type_symbol
_atom_site_fract_x
_atom_site_fract_y
_atom_site_fract_z
_atom_site_occupancy
Ca1 Ca 0.2401 0.1178 0.0000 1
La1 La 0.2412 0.6282 0.0000 1
Mn1 Mn 0.2448 0.8753 0.2471 1
O1 O 0.0000 0.0000 0.2045 1
O2 O 0.0000 0.5000 0.2118 1
O3 O 0.0172 0.2456 0.2068 1
O4 O 0.1675 0.3673 0.5000 1
O5 O 0.1750 0.8856 0.5000 1
```

---

(3)
The following is a calculated powder X-ray diffraction pattern of KLiY2Mo4O16. It was derived from DFT lattice parameters and positions (PBE+U), using Cu Kα, 1.54184 Å.

Peak list (8 most intense, 15° ≤ 2θ ≤ 90°, most intense first)
| 2theta | I/Imax | (hkl) |
| --- | --- | --- |
| 28.5 | 100 | 1 1 -5 |
| 30.7 | 94 | 0 2 6 |
| 27.4 | 89 | 1 3 1 |
| 29.9 | 72 | 1 1 5 |
| 27.1 | 65 | 1 3 -1 |
| 26.4 | 60 | 1 1 4 |
| 29.8 | 55 | 1 3 -3 |
| 25.1 | 53 | 1 1 -4 |

Structural model:
```
data_KLiY2Mo4O16
_symmetry_space_group_name_H-M 'C 1 2/c 1'
_symmetry_Int_Tables_number 15
_cell_length_a 5.2857
_cell_length_b 12.8019
_cell_length_c 19.6367
_cell_angle_alpha 90.00
_cell_angle_beta 93.06
_cell_angle_gamma 90.00
loop_
_symmetry_equiv_pos_as_xyz
'x,y,z'
'-x,-y,-z'
'-x,y,-z+1/2'
'x,-y,z+1/2'
'x+1/2,y+1/2,z'
'-x+1/2,-y+1/2,-z'
'-x+1/2,y+1/2,-z+1/2'
'x+1/2,-y+1/2,z+1/2'
loop_
_atom_site_label
_atom_site_type_symbol
_atom_site_fract_x
_atom_site_fract_y
_atom_site_fract_z
_atom_site_occupancy
K1 K 0.0000 0.0310 0.2500 1
Li1 Li 0.0000 0.3137 0.2500 1
Y1 Y 0.9995 0.1470 0.0326 1
Mo1 Mo 0.0103 0.2577 0.6480 1
Mo2 Mo 0.0193 0.4376 0.0916 1
O1 O 0.1078 0.4084 0.3294 1
O2 O 0.1287 0.1393 0.8266 1
O3 O 0.1631 0.3299 0.0423 1
O4 O 0.1764 0.2403 0.5666 1
O5 O 0.2322 0.2966 0.7138 1
O6 O 0.2336 0.4548 0.6015 1
O7 O 0.2418 0.0195 0.5373 1
O8 O 0.2488 0.3491 0.8675 1
```

---

(4)
The following is a calculated powder X-ray diffraction pattern of RbNbWO6. It was derived from DFT lattice parameters and positions (PBE+U), using Cu Kα, 1.54184 Å.

Peak list (8 most intense, 15° ≤ 2θ ≤ 90°, most intense first)
| 2theta | I/Imax | (hkl) |
| --- | --- | --- |
| 28.0 | 100 | 0 1 3 |
| 28.2 | 88 | 2 1 1 |
| 29.3 | 50 | 0 2 2 |
| 29.4 | 49 | 2 0 2 |
| 48.9 | 48 | 2 2 4 |
| 44.6 | 31 | 0 3 3 |
| 23.8 | 25 | 0 2 0 |
| 57.9 | 22 | 0 2 6 |

Structural model:
```
data_RbNbWO6
_symmetry_space_group_name_H-M 'I m m a'
_symmetry_Int_Tables_number 74
_symmetry_space_group_name_Hall '-I 2b 2'
_cell_length_a 7.4122
_cell_length_b 7.4805
_cell_length_c 10.5602
_cell_angle_alpha 90.00
_cell_angle_beta 90.00
_cell_angle_gamma 90.00
loop_
_atom_site_label
_atom_site_type_symbol
_atom_site_fract_x
_atom_site_fract_y
_atom_site_fract_z
_atom_site_occupancy
Rb1 Rb 0.0000 0.2500 0.1261 1
Nb1 Nb 0.0000 0.0000 0.5000 1
W1 W 0.2500 0.2500 0.7500 1
O1 O 0.0000 0.2500 0.4363 1
O2 O 0.0000 0.2500 0.8090 1
O3 O 0.1904 0.0675 0.6272 1
```